Structure and theoretical powder XRD pattern of Sr2Tl9Rh3 (a structure optimized by DFT (PBE); CuKα).

Peak list (10 most intense, 10 to 90 degrees two-theta, low angle first)
2θ/deg	I (rel.)
26.52	13.2
32.33	100.0
32.41	46.3
36.17	36.4
36.36	72.5
39.25	19.5
40.09	22.4
46.88	12.2
62.76	18.9
62.99	16.3

Crystal structure
Cell: 8.5884 8.5884 11.9578 Å, 111.25 111.25 59.66°
Sites, in units of the cell vectors:
Sr: 0.0875 0.2524 0.2495
Sr: 0.2524 0.0875 0.7495
Sr: 0.7476 0.9125 0.2505
Sr: 0.9125 0.7476 0.7505
Tl: 0.0137 0.8693 0.0781
Tl: 0.1307 0.9863 0.4219
Tl: 0.1845 0.3607 0.5768
Tl: 0.1858 0.5815 0.2512
Tl: 0.3066 0.4845 0.9445
Tl: 0.3432 0.6568 0.7500
Tl: 0.3607 0.1845 0.0768
Tl: 0.4185 0.8142 0.2488
Tl: 0.4845 0.3066 0.4445
Tl: 0.5155 0.6934 0.5555
Tl: 0.5815 0.1858 0.7512
Tl: 0.6393 0.8155 0.9232
Tl: 0.6568 0.3432 0.2500
Tl: 0.6934 0.5155 0.0555
Tl: 0.8142 0.4185 0.7488
Tl: 0.8155 0.6393 0.4232
Tl: 0.8693 0.0137 0.5781
Tl: 0.9863 0.1307 0.9219
Rh: 0.0000 0.5000 0.0000
Rh: 0.1649 0.6669 0.4982
Rh: 0.3331 0.8351 0.0018
Rh: 0.5000 0.0000 0.5000
Rh: 0.6669 0.1649 0.9982
Rh: 0.8351 0.3331 0.5018